The following is a simulated powder diffractogram of AgBi3Pd7. It was derived from the GGA-PBE geometry in Alexandria, using Cu Ka.
Lines closer than 0.1° are merged.

Top 8 peaks for 2θ from 15° to 90°, in order of rising 2θ:
| hkl | 2θ (°) | I/Imax |
| --- | --- | --- |
| 1 1 3 | 35.41 | 100.0 |
| 0 8 2 | 37.44 | 17.1 |
| 1 7 0 | 38.67 | 72.8 |
| 0 8 3 | 41.94 | 54.0 |
| 2 0 0 | 50.84 | 23.3 |
| 1 9 5 | 63.43 | 15.3 |
| 1 7 6 | 65.18 | 16.2 |
| 2 8 3 | 67.96 | 21.6 |

Atomic structure:
Cell lengths 3.592, 21.404, 10.887 Å; angles 90.00, 90.00, 90.00 degrees
Space group Cmcm (No. 63)
Inequivalent atoms, fractional coordinates:
Ag: 0.000 0.088 0.250 (multiplicity 4)
Bi: 0.000 0.082 0.562 (multiplicity 8)
Bi: 0.000 0.235 0.250 (multiplicity 4)
Pd: 0.000 0.212 0.574 (multiplicity 8)
Pd: 0.000 0.344 0.601 (multiplicity 8)
Pd: 0.000 0.368 0.250 (multiplicity 4)
Pd: 0.000 0.486 0.625 (multiplicity 8)